No. 1
Diffraction record for LiSi2PtO6. The powder XRD pattern is theoretical, not measured: it uses a structure optimized by DFT (GGA-PBE) and a wavelength of 1.5418 Å.
Neutral-atom scattering factors, no anomalous dispersion.

Main lines, low angle first (10° ≤ 2θ ≤ 90°):
| Position (°2θ) | I (rel.) |
| --- | --- |
| 18.47 | 23 |
| 19.31 | 28 |
| 19.52 | 100 |
| 24.96 | 32 |
| 26.85 | 58 |
| 28.90 | 43 |
| 36.28 | 19 |
| 37.43 | 18 |
| 39.85 | 19 |
| 40.28 | 24 |

```
20
Lattice="5.1479 -4.5958 0.0000 5.1479 4.5958 0.0000 -1.9074 0.0000 4.9524" Properties=species:S:1:pos:R:3 pbc="T T T"
Li 3.7173 3.6781 3.7143
Li 4.6710 -3.6781 1.2381
Si 1.4132 0.8214 4.0170
Si 2.3669 -0.8214 1.5408
Si 6.0214 0.8214 3.4116
Si 6.9751 -0.8214 0.9354
Pt 4.6710 2.1905 1.2381
Pt 3.7173 -2.1905 3.7143
O -0.0414 0.8601 3.2944
O 2.2183 2.2261 4.2199
O 0.9124 -0.8601 0.8182
O 3.2822 0.2403 0.6362
O 2.3285 -0.2403 3.1124
O 5.2163 2.2261 3.2087
O 3.1720 -2.2261 1.7437
O 6.0598 0.2403 1.8400
O 5.1061 -0.2403 4.3162
O 7.4760 0.8601 4.1342
O 6.1701 -2.2261 0.7325
O 8.4297 -0.8601 1.6580
```


No. 2
Diffraction record for Ru2RhBr. The powder XRD pattern is theoretical, not measured: it uses a structure optimized by DFT (GGA-PBE) and a wavelength of 1.5418 Å.
Neutral-atom scattering factors, no anomalous dispersion.

Main lines, low angle first (10° ≤ 2θ ≤ 90°):
| Position (°2θ) | I (rel.) |
| --- | --- |
| 12.69 | 55 |
| 31.82 | 22 |
| 36.15 | 100 |
| 40.99 | 33 |
| 43.08 | 73 |
| 50.95 | 44 |
| 51.66 | 24 |
| 75.50 | 27 |
| 78.09 | 20 |
| 81.69 | 22 |

```
4
Lattice="2.8124 0.0000 0.0000 0.0000 3.5388 0.0000 0.0000 0.0000 6.9778" Properties=species:S:1:pos:R:3 pbc="T T T"
Ru 0.0000 0.0000 0.0000
Ru 1.4062 1.7694 1.2432
Rh 1.4062 1.7694 5.5660
Br 1.4062 0.0000 3.3380
```


No. 3
Diffraction record for Be4W3. The powder XRD pattern is theoretical, not measured: it uses a structure optimized by DFT (GGA-PBE) and a wavelength of 1.5418 Å.
Neutral-atom scattering factors, no anomalous dispersion.

Main lines, low angle first (10° ≤ 2θ ≤ 90°):
| Position (°2θ) | I (rel.) |
| --- | --- |
| 15.68 | 55 |
| 23.61 | 28 |
| 35.39 | 100 |
| 39.87 | 24 |
| 43.76 | 59 |
| 47.76 | 32 |
| 63.69 | 19 |
| 63.91 | 25 |
| 80.81 | 19 |
| 86.17 | 17 |

```
14
Lattice="2.6932 0.0000 0.0000 0.0000 2.6932 0.0000 0.0000 0.0000 22.6112" Properties=species:S:1:pos:R:3 pbc="T T T"
Be 0.0000 0.0000 1.7250
Be 0.0000 0.0000 8.5016
Be 0.0000 0.0000 14.1096
Be 0.0000 0.0000 20.8862
Be 1.3466 1.3466 2.8040
Be 1.3466 1.3466 9.5806
Be 1.3466 1.3466 13.0306
Be 1.3466 1.3466 19.8072
W 0.0000 0.0000 4.4930
W 0.0000 0.0000 11.3056
W 0.0000 0.0000 18.1182
W 1.3466 1.3466 0.0000
W 1.3466 1.3466 6.8126
W 1.3466 1.3466 15.7986
```